The following is a simulated X-ray diffraction stick pattern of PrTmCu2Sn2. It was derived from a structure optimized by DFT (GGA-PBE), using λ = 1.5418 Å (Cu Kα).

Main lines, by angle (10° ≤ 2θ ≤ 90°):
two_theta	Rel. int.
22.5	8.3
25.5	12.0
33.2	100.0
39.5	65.6
43.2	11.8
49.3	6.7
52.5	27.4
54.8	5.5
64.9	17.7
67.6	30.1
71.6	11.3
85.0	7.3

Structural model:
Lattice parameters (Å, degrees): 4.566 4.566 7.400 90.00 90.00 120.00
Element x y z (fractional)
Pr  0.000  0.000  0.000
Tm  0.000  0.000  0.499
Cu  0.333  0.667  0.328
Cu  0.667  0.333  0.792
Sn  0.333  0.667  0.719
Sn  0.667  0.333  0.243


The following is a simulated X-ray diffraction stick pattern of Ba6ZrZn6S14. It was derived from a structure optimized by DFT (GGA-PBE), using λ = 1.5418 Å (Cu Kα).

Main lines, by angle (10° ≤ 2θ ≤ 90°):
two_theta	Rel. int.
22.9	28.5
23.6	100.0
24.2	34.9
24.8	27.4
27.6	61.2
29.2	99.6
30.7	57.9
33.1	40.4
33.5	43.4
36.3	36.6
37.5	27.7
39.1	30.1

Structural model:
Lattice parameters (Å, degrees): 12.650 12.650 12.650 98.81 98.81 133.92
Element x y z (fractional)
Ba  0.053  0.250  0.803
Ba  0.229  0.729  0.959
Ba  0.250  0.053  0.803
Ba  0.250  0.447  0.197
Ba  0.271  0.229  0.500
Ba  0.447  0.250  0.197
Ba  0.553  0.750  0.803
Ba  0.729  0.771  0.500
Ba  0.750  0.553  0.803
Ba  0.750  0.947  0.197
Ba  0.771  0.271  0.041
Ba  0.947  0.750  0.197
Zr  0.000  0.000  0.000
Zr  0.500  0.500  0.000
Zn  0.061  0.561  0.322
Zn  0.117  0.383  0.500
Zn  0.239  0.739  0.678
Zn  0.261  0.939  0.500
Zn  0.383  0.883  0.265
Zn  0.439  0.761  0.500
Zn  0.561  0.239  0.500
Zn  0.617  0.117  0.735
Zn  0.739  0.061  0.500
Zn  0.761  0.261  0.322
Zn  0.883  0.617  0.500
Zn  0.939  0.439  0.678
S  0.015  0.673  0.689
S  0.040  0.877  0.500
S  0.112  0.113  0.225
S  0.113  0.888  0.001
S  0.123  0.623  0.163
S  0.173  0.515  0.689
S  0.250  0.250  0.000
S  0.250  0.750  0.500
S  0.327  0.015  0.342
S  0.377  0.540  0.500
S  0.387  0.388  0.775
S  0.388  0.613  0.001
S  0.460  0.960  0.837
S  0.485  0.173  0.658
S  0.515  0.827  0.342
S  0.540  0.040  0.163
S  0.612  0.387  0.999
S  0.613  0.612  0.225
S  0.623  0.460  0.500
S  0.673  0.985  0.658
S  0.750  0.250  0.500
S  0.750  0.750  0.000
S  0.827  0.485  0.311
S  0.877  0.377  0.837
S  0.887  0.112  0.999
S  0.888  0.887  0.775
S  0.960  0.123  0.500
S  0.985  0.327  0.311


The following is a simulated X-ray diffraction stick pattern of Cs2ZrAg2SeS3. It was derived from a structure optimized by DFT (GGA-PBE), using λ = 1.5418 Å (Cu Kα).

Main lines, by angle (10° ≤ 2θ ≤ 90°):
two_theta	Rel. int.
15.5	19.4
21.0	19.2
21.2	32.1
24.9	38.7
27.5	71.2
27.6	62.0
31.2	100.0
31.3	33.6
37.4	22.1
40.7	30.8
41.1	32.9
47.9	52.2

Structural model:
Lattice parameters (Å, degrees): 6.233 6.248 7.814 66.43 89.63 89.50
Element x y z (fractional)
Cs  0.000  0.000  0.000
Cs  0.469  0.500  0.000
Zr  0.736  0.498  0.505
Ag  0.234  0.492  0.507
Ag  0.741  0.999  0.507
Se  0.501  0.842  0.292
S  0.512  0.176  0.704
S  0.957  0.621  0.705
S  0.961  0.372  0.308


The following is a simulated X-ray diffraction stick pattern of AlZn5. It was derived from a structure optimized by DFT (GGA-PBE), using λ = 1.5418 Å (Cu Kα).

Main lines, by angle (10° ≤ 2θ ≤ 90°):
two_theta	Rel. int.
21.7	5.5
29.0	4.8
38.0	24.4
38.5	30.1
42.8	100.0
55.2	15.7
68.6	15.0
72.6	19.0
81.2	2.4
81.6	18.1
82.5	2.9
84.4	12.5

Structural model:
Lattice parameters (Å, degrees): 4.737 4.737 4.676 90.00 90.00 120.00
Element x y z (fractional)
Al  0.000  0.000  0.000
Zn  0.000  0.335  0.500
Zn  0.333  0.667  0.000
Zn  0.335  0.000  0.500
Zn  0.665  0.665  0.500
Zn  0.667  0.333  0.000


The following is a simulated X-ray diffraction stick pattern of La2Ag2SnGe. It was derived from a structure optimized by DFT (GGA-PBE), using λ = 1.5418 Å (Cu Kα).

Main lines, by angle (10° ≤ 2θ ≤ 90°):
two_theta	Rel. int.
24.4	5.9
31.4	100.0
38.0	65.6
40.7	9.2
45.9	8.4
50.1	26.8
61.0	21.3
64.5	24.8
68.6	11.3
81.2	7.1
86.5	8.2
89.6	10.6

Structural model:
Lattice parameters (Å, degrees): 4.740 4.740 7.909 90.00 90.00 120.00
Element x y z (fractional)
La  0.000  0.000  0.000
La  0.000  0.000  0.484
Ag  0.333  0.667  0.709
Ag  0.667  0.333  0.220
Sn  0.667  0.333  0.774
Ge  0.333  0.667  0.280


The following is a simulated X-ray diffraction stick pattern of GeIr17. It was derived from a structure optimized by DFT (GGA-PBE), using λ = 1.5418 Å (Cu Kα).

Main lines, by angle (10° ≤ 2θ ≤ 90°):
two_theta	Rel. int.
38.1	19.3
39.8	36.6
40.6	100.0
41.0	30.6
41.7	20.3
45.7	30.5
47.4	63.3
69.0	21.5
69.5	19.2
81.7	13.3
83.5	24.4
84.0	13.5

Structural model:
Lattice parameters (Å, degrees): 5.445 5.445 33.028 90.00 90.00 120.00
Element x y z (fractional)
Ge  0.333  0.667  0.276
Ge  0.667  0.333  0.724
Ir  0.000  0.000  0.000
Ir  0.000  0.000  0.204
Ir  0.000  0.000  0.796
Ir  0.000  0.500  0.000
Ir  0.001  0.501  0.203
Ir  0.166  0.332  0.730
Ir  0.166  0.834  0.730
Ir  0.167  0.334  0.136
Ir  0.167  0.334  0.932
Ir  0.167  0.833  0.136
Ir  0.167  0.833  0.932
Ir  0.332  0.166  0.270
Ir  0.333  0.667  0.068
Ir  0.333  0.667  0.865
Ir  0.334  0.167  0.068
Ir  0.334  0.167  0.864
Ir  0.499  0.501  0.203
Ir  0.499  0.999  0.203
Ir  0.500  0.000  0.000
Ir  0.500  0.500  0.000
Ir  0.501  0.001  0.797
Ir  0.501  0.499  0.797
Ir  0.666  0.833  0.136
Ir  0.666  0.833  0.932
Ir  0.667  0.333  0.135
Ir  0.667  0.333  0.932
Ir  0.668  0.834  0.730
Ir  0.833  0.167  0.068
Ir  0.833  0.167  0.864
Ir  0.833  0.666  0.068
Ir  0.833  0.666  0.864
Ir  0.834  0.166  0.270
Ir  0.834  0.668  0.270
Ir  0.999  0.499  0.797


The following is a simulated X-ray diffraction stick pattern of CuSbTe3Pd. It was derived from a structure optimized by DFT (GGA-PBE), using λ = 1.5418 Å (Cu Kα).

Main lines, by angle (10° ≤ 2θ ≤ 90°):
two_theta	Rel. int.
24.9	33.6
26.6	58.4
27.0	15.7
27.4	100.0
30.0	68.6
32.7	26.4
37.9	20.3
42.4	38.2
44.0	88.3
49.4	14.8
52.8	24.4
73.5	15.0

Structural model:
Lattice parameters (Å, degrees): 5.402 8.523 14.311 90.00 90.00 90.00
Element x y z (fractional)
Cu  0.036  0.107  0.443
Cu  0.464  0.893  0.943
Cu  0.536  0.393  0.557
Cu  0.964  0.607  0.057
Sb  0.101  0.127  0.141
Sb  0.399  0.873  0.641
Sb  0.601  0.373  0.859
Sb  0.899  0.627  0.359
Te  0.227  0.147  0.915
Te  0.245  0.630  0.913
Te  0.249  0.612  0.201
Te  0.251  0.388  0.701
Te  0.255  0.370  0.413
Te  0.273  0.853  0.415
Te  0.727  0.353  0.085
Te  0.745  0.870  0.087
Te  0.749  0.888  0.799
Te  0.751  0.112  0.299
Te  0.755  0.130  0.587
Te  0.773  0.647  0.585
Pd  0.020  0.646  0.748
Pd  0.480  0.354  0.248
Pd  0.520  0.854  0.252
Pd  0.980  0.146  0.752


The following is a simulated X-ray diffraction stick pattern of CsLi6NbO6. It was derived from a structure optimized by DFT (GGA-PBE), using λ = 1.5418 Å (Cu Kα).

Main lines, by angle (10° ≤ 2θ ≤ 90°):
two_theta	Rel. int.
21.4	100.0
27.3	64.5
34.9	22.2
35.2	11.7
37.5	24.6
41.3	67.4
43.6	19.1
52.2	15.6
58.8	13.5
60.9	20.0
61.6	11.9
67.7	10.5

Structural model:
Lattice parameters (Å, degrees): 5.384 5.384 5.384 100.99 100.99 100.99
Element x y z (fractional)
Cs  0.000  0.000  0.000
Li  0.158  0.500  0.842
Li  0.158  0.842  0.500
Li  0.500  0.158  0.842
Li  0.500  0.842  0.158
Li  0.842  0.158  0.500
Li  0.842  0.500  0.158
Nb  0.500  0.500  0.500
O  0.229  0.229  0.586
O  0.229  0.586  0.229
O  0.414  0.771  0.771
O  0.586  0.229  0.229
O  0.771  0.414  0.771
O  0.771  0.771  0.414


The following is a simulated X-ray diffraction stick pattern of Tl5Hg2I4Br5. It was derived from a structure optimized by DFT (GGA-PBE), using λ = 1.5418 Å (Cu Kα).

Main lines, by angle (10° ≤ 2θ ≤ 90°):
two_theta	Rel. int.
22.8	57.9
23.7	34.4
27.3	100.0
29.2	80.7
31.3	76.2
32.8	43.5
44.2	31.0
44.5	45.9
45.8	23.9
47.0	28.0
53.1	20.5
64.7	19.6

Structural model:
Lattice parameters (Å, degrees): 16.413 16.413 16.413 149.46 149.46 43.73
Element x y z (fractional)
Tl  0.108  0.108  0.000
Tl  0.150  0.650  0.800
Tl  0.250  0.250  0.000
Tl  0.350  0.150  0.500
Tl  0.392  0.392  0.000
Tl  0.608  0.608  0.000
Tl  0.650  0.850  0.500
Tl  0.750  0.750  0.000
Tl  0.850  0.350  0.200
Tl  0.892  0.892  0.000
Hg  0.142  0.642  0.500
Hg  0.358  0.858  0.500
Hg  0.642  0.142  0.500
Hg  0.858  0.358  0.500
I  0.003  0.503  0.886
I  0.117  0.003  0.500
I  0.383  0.883  0.886
I  0.497  0.383  0.500
I  0.503  0.617  0.500
I  0.617  0.117  0.114
I  0.883  0.997  0.500
I  0.997  0.497  0.114
Br  0.000  0.000  0.000
Br  0.082  0.267  0.500
Br  0.233  0.418  0.500
Br  0.267  0.767  0.186
Br  0.418  0.918  0.186
Br  0.500  0.500  0.000
Br  0.582  0.082  0.814
Br  0.733  0.233  0.814
Br  0.767  0.582  0.500
Br  0.918  0.733  0.500